Starting from DFT lattice parameters and positions (PBE), the powder diffractogram of TiZnO2 was computed for copper Kα.
Neutral-atom scattering factors, no anomalous dispersion.

Top 10 peaks for 10 to 80 degrees two-theta, sorted by position:
10.09 deg, d = 8.764 Å, I = 28, hkl 0 1 0
21.95 deg, d = 4.049 Å, I = 31, hkl 0 2 -1
30.07 deg, d = 2.972 Å, I = 100, hkl 0 0 3
32.94 deg, d = 2.719 Å, I = 61, hkl 0 3 1
35.43 deg, d = 2.534 Å, I = 46, hkl 1 -1 1
35.53 deg, d = 2.527 Å, I = 57, hkl 0 3 -2
41.03 deg, d = 2.200 Å, I = 43, hkl 1 2 -1
41.25 deg, d = 2.189 Å, I = 51, hkl 1 -3 0
49.83 deg, d = 1.830 Å, I = 26, hkl -1 3 3
56.72 deg, d = 1.623 Å, I = 24, hkl 1 -1 4

Structural model:
Cell: 2.822 8.891 9.048 Å, 92.64 98.95 98.80°
Space group P-1 (No. 2)
Inequivalent atoms, fractional coordinates:
Ti: 0.117 0.410 0.320 x2
Ti: 0.346 0.173 0.013 x2
Zn: 0.092 0.989 0.671 x2
Zn: 0.300 0.756 0.354 x2
O: 0.033 0.720 0.850 x2
O: 0.208 0.796 0.124 x2
O: 0.322 0.439 0.704 x2
O: 0.372 0.683 0.568 x2